Structure and theoretical PXRD pattern of Np6Se5S5 (DFT lattice parameters and positions (PBE); Cu Kα, 1.54184 Å).
Kinematic intensities with the Lorentz-polarization factor, no thermal factor.

Most intense lines, 5° ≤ 2θ ≤ 70°, most intense first:
26.37 deg, I 1000; 28.72 deg, I 995; 36.51 deg, I 601; 36.74 deg, I 584; 36.96 deg, I 569; 37.09 deg, I 531; 22.07 deg, I 517; 38.47 deg, I 392; 26.19 deg, I 373; 49.42 deg, I 353; 56.47 deg, I 328; 36.38 deg, I 293

Structure:
```
Np6Se5S5
1.0
6.217 0.000 0.000
0.000 6.955 4.066
0.000 -6.955 4.066
Np Se S
6 5 5
direct
0.000 0.000 0.000
0.000 0.407 0.792
0.000 0.792 0.407
0.500 0.396 0.998
0.500 0.789 0.789
0.500 0.998 0.396
0.000 0.148 0.398
0.000 0.398 0.148
0.500 0.148 0.148
0.500 0.395 0.641
0.500 0.641 0.395
0.000 0.658 0.658
0.251 0.065 0.731
0.251 0.731 0.065
0.749 0.065 0.731
0.749 0.731 0.065
```